1.
Diffraction record for AgGeBO4. The X-ray diffraction stick pattern is theoretical, not measured: it uses a structure optimized by DFT (GGA-PBE) and Cu Kα (λ = 1.5418 Å).

Principal peaks in the range 2θ = 15–90°, sorted by position:
| 2θ (°) | I_rel |
| --- | --- |
| 25.24 | 46 |
| 26.08 | 88 |
| 36.61 | 100 |
| 37.21 | 31 |
| 45.50 | 46 |
| 58.91 | 20 |
| 60.60 | 21 |
| 66.70 | 29 |

a b c (Å): 4.9121 4.9121 4.9121
angles (deg): 121.07 121.07 88.15
Element x y z (fractional)
Ag 0.0000 0.0000 0.0000
Ge 0.5000 0.5000 0.0000
B 0.7500 0.2500 0.5000
O 0.0865 0.2345 0.5959
O 0.5093 0.9135 0.1480
O 0.6386 0.4907 0.4041
O 0.7655 0.3614 0.8520

***

2.
Diffraction record for AgBH6Os. The X-ray diffraction stick pattern is theoretical, not measured: it uses a structure optimized by DFT (GGA-PBE) and Cu Kα (λ = 1.5418 Å).

Principal peaks in the range 2θ = 15–90°, sorted by position:
| 2θ (°) | I_rel |
| --- | --- |
| 23.94 | 100 |
| 39.59 | 83 |
| 46.79 | 51 |
| 57.23 | 15 |
| 62.91 | 21 |
| 71.82 | 28 |
| 76.94 | 16 |
| 85.26 | 9 |

a b c (Å): 4.5532 4.5532 4.5532
angles (deg): 60.00 60.00 60.00
Element x y z (fractional)
Ag 0.0000 0.0000 0.0000
B 0.5000 0.5000 0.5000
H 0.5146 0.5146 0.9854
H 0.5146 0.9854 0.5146
H 0.5146 0.9854 0.9854
H 0.9854 0.5146 0.5146
H 0.9854 0.5146 0.9854
H 0.9854 0.9854 0.5146
Os 0.2500 0.2500 0.2500

***

3.
Diffraction record for AgBH6Pd. The X-ray diffraction stick pattern is theoretical, not measured: it uses a structure optimized by DFT (GGA-PBE) and Cu Kα (λ = 1.5418 Å).

Principal peaks in the range 2θ = 15–90°, sorted by position:
| 2θ (°) | I_rel |
| --- | --- |
| 22.95 | 100 |
| 37.92 | 91 |
| 44.79 | 50 |
| 54.71 | 16 |
| 60.10 | 20 |
| 68.50 | 30 |
| 73.30 | 15 |
| 85.63 | 15 |

a b c (Å): 4.7452 4.7452 4.7452
angles (deg): 60.00 60.00 60.00
Element x y z (fractional)
Ag 0.0000 0.0000 0.0000
B 0.5000 0.5000 0.5000
H 0.0008 0.0008 0.4992
H 0.0008 0.4992 0.0008
H 0.0008 0.4992 0.4992
H 0.4992 0.0008 0.0008
H 0.4992 0.0008 0.4992
H 0.4992 0.4992 0.0008
Pd 0.2500 0.2500 0.2500

***

4.
Diffraction record for AgBTeH6. The X-ray diffraction stick pattern is theoretical, not measured: it uses a structure optimized by DFT (GGA-PBE) and Cu Kα (λ = 1.5418 Å).

Principal peaks in the range 2θ = 15–90°, sorted by position:
| 2θ (°) | I_rel |
| --- | --- |
| 22.71 | 99 |
| 37.51 | 100 |
| 44.30 | 54 |
| 54.10 | 17 |
| 59.41 | 23 |
| 67.69 | 32 |
| 72.42 | 16 |
| 84.53 | 16 |

a b c (Å): 4.7951 4.7951 4.7951
angles (deg): 60.00 60.00 60.00
Element x y z (fractional)
Ag 0.0000 0.0000 0.0000
B 0.5000 0.5000 0.5000
Te 0.2500 0.2500 0.2500
H 0.6048 0.6048 0.8952
H 0.6048 0.8952 0.6048
H 0.6048 0.8952 0.8952
H 0.8952 0.6048 0.6048
H 0.8952 0.6048 0.8952
H 0.8952 0.8952 0.6048

***

5.
Diffraction record for InAgB4. The X-ray diffraction stick pattern is theoretical, not measured: it uses a structure optimized by DFT (GGA-PBE) and Cu Kα (λ = 1.5418 Å).

Principal peaks in the range 2θ = 15–90°, sorted by position:
| 2θ (°) | I_rel |
| --- | --- |
| 22.94 | 46 |
| 33.08 | 68 |
| 40.64 | 100 |
| 58.57 | 25 |
| 59.10 | 17 |
| 64.25 | 17 |
| 74.19 | 16 |
| 78.63 | 15 |

a b c (Å): 3.1265 3.1265 7.7526
angles (deg): 90.00 90.00 120.00
Element x y z (fractional)
In 0.0000 0.0000 0.0000
Ag 0.0000 0.0000 0.5000
B 0.3333 0.6667 0.2484
B 0.3333 0.6667 0.7516
B 0.6667 0.3333 0.2484
B 0.6667 0.3333 0.7516

***

6.
Diffraction record for InAgB4. The X-ray diffraction stick pattern is theoretical, not measured: it uses a structure optimized by DFT (GGA-PBE) and Cu Kα (λ = 1.5418 Å).

Principal peaks in the range 2θ = 15–90°, sorted by position:
| 2θ (°) | I_rel |
| --- | --- |
| 22.54 | 72 |
| 33.16 | 67 |
| 33.35 | 32 |
| 40.47 | 100 |
| 40.63 | 50 |
| 46.01 | 19 |
| 57.88 | 26 |
| 59.49 | 17 |

a b c (Å): 5.0221 5.0221 5.0221
angles (deg): 143.74 115.32 76.47
Element x y z (fractional)
In 0.0000 0.0000 0.0000
Ag 0.5000 0.5000 0.0000
B 0.0784 0.7485 0.3299
B 0.4186 0.7485 0.6701
B 0.5814 0.2515 0.3299
B 0.9216 0.2515 0.6701